For Cs2InCl7, a cell relaxed with GGA-PBE gives the simulated X-ray diffraction stick pattern in this record (λ = 1.5418 Å (Cu Kα)).
Lines closer than 0.1° are merged.

The 10 most intense peaks (2θ = 10–90°), in order of rising 2θ:
13.9 deg, rel. 27
22.5 deg, rel. 100
23.5 deg, rel. 43
28.1 deg, rel. 49
30.7 deg, rel. 35
33.5 deg, rel. 59
40.7 deg, rel. 42
46.0 deg, rel. 41
48.1 deg, rel. 20
58.1 deg, rel. 20

```
Cs2InCl7
1.0
-3.786 3.786 5.829
3.786 -3.786 5.829
3.786 3.786 -5.829
Cs In Cl
2 1 7
Cartesian
3.786 0.000 2.915 Cs
0.000 3.786 2.915 Cs
0.000 0.000 0.000 In
0.000 0.000 2.485 Cl
1.824 1.824 0.000 Cl
1.962 -1.962 5.829 Cl
0.000 0.000 5.829 Cl
-1.962 1.962 5.829 Cl
1.962 1.962 5.829 Cl
0.000 0.000 9.173 Cl
```